# TbPr2Au3
Computed powder diffractogram, a wavelength of 1.5418 Å. Input: the PBE geometry in Alexandria.
Intensities are scaled so that the largest is 100.

Cell and atoms:
```
data_TbPr2Au3
_chemical_formula_sum 'Tb2 Pr4 Au6'
_space_group_name_H-M_alt 'P m m n'
_space_group_IT_number 59
_cell_length_a 5.2234
_cell_length_b 15.8295
_cell_length_c 3.6815
_cell_angle_alpha 90.00
_cell_angle_beta 90.00
_cell_angle_gamma 90.00
loop_
_space_group_symop_operation_xyz
'x,y,z'
'-x,-y,-z'
'-x+1/2,-y+1/2,z'
'x+1/2,y+1/2,-z'
'x+1/2,-y,-z'
'-x+1/2,y,z'
'-x,y+1/2,-z'
'x,-y+1/2,z'
loop_
_atom_site_label
_atom_site_type_symbol
_atom_site_fract_x
_atom_site_fract_y
_atom_site_fract_z
Tb1 Tb 0.2500 0.2500 0.0027
Pr1 Pr 0.2500 0.5824 0.9972
Au1 Au 0.2500 0.0941 0.5030
Au2 Au 0.2500 0.7500 0.4978
```

Peak list (10 most intense, 15° ≤ 2θ ≤ 90°, low angle first)
| h k l | Position (°2θ) | I (rel.) |
| --- | --- | --- |
| 0 6 0 | 33.98 | 19 |
| 2 0 0 | 34.31 | 100 |
| 2 6 0 | 49.08 | 14 |
| 0 0 2 | 49.52 | 7 |
| 1 9 1 | 61.02 | 13 |
| 3 3 1 | 61.46 | 22 |
| 2 0 2 | 61.64 | 8 |
| 4 0 0 | 72.31 | 11 |
| 3 9 1 | 82.19 | 6 |
| 1 3 3 | 82.85 | 7 |

# Ce8GaPd24
Computed powder diffractogram, a wavelength of 1.5418 Å. Input: the PBE geometry in Alexandria.
Intensities are scaled so that the largest is 100.

Cell and atoms:
```
data_Ce8GaPd24
_chemical_formula_sum 'Ce8 Ga1 Pd24'
_space_group_name_H-M_alt 'P m -3 m'
_space_group_IT_number 221
_space_group_name_Hall '-P 4 2 3'
_cell_length_a 8.4481
_cell_length_b 8.4481
_cell_length_c 8.4481
_cell_angle_alpha 90.00
_cell_angle_beta 90.00
_cell_angle_gamma 90.00
loop_
_atom_site_label
_atom_site_type_symbol
_atom_site_fract_x
_atom_site_fract_y
_atom_site_fract_z
Ce1 Ce 0.2501 0.2501 0.2501
Ga1 Ga 0.0000 0.0000 0.0000
Pd1 Pd 0.0000 0.0000 0.2963
Pd2 Pd 0.0000 0.2618 0.5000
Pd3 Pd 0.2538 0.5000 0.5000
```

Peak list (10 most intense, 15° ≤ 2θ ≤ 90°, low angle first)
| h k l | Position (°2θ) | I (rel.) |
| --- | --- | --- |
| 2 2 0 | 29.92 | 3 |
| 2 2 2 | 36.86 | 100 |
| 3 2 0 | 38.42 | 3 |
| 4 0 0 | 42.82 | 52 |
| 3 2 2 | 44.20 | 3 |
| 4 4 0 | 62.16 | 31 |
| 6 2 2 | 74.50 | 32 |
| 6 3 0 | 75.49 | 2 |
| 4 4 4 | 78.43 | 10 |
| 6 3 2 | 79.40 | 2 |

# Sr2Al7Au
Computed powder diffractogram, a wavelength of 1.5418 Å. Input: the PBE geometry in Alexandria.
Intensities are scaled so that the largest is 100.

Cell and atoms:
```
data_Sr2Al7Au
_chemical_formula_sum 'Sr2 Al7 Au1'
_space_group_name_H-M_alt 'P -4 m 2'
_space_group_IT_number 115
_cell_length_a 4.3909
_cell_length_b 4.3909
_cell_length_c 11.3870
_cell_angle_alpha 90.00
_cell_angle_beta 90.00
_cell_angle_gamma 90.00
loop_
_space_group_symop_operation_xyz
'x,y,z'
'y,-x,-z'
'-x,-y,z'
'-y,x,-z'
'-x,y,z'
'-y,-x,-z'
'x,-y,z'
'y,x,-z'
loop_
_atom_site_label
_atom_site_type_symbol
_atom_site_fract_x
_atom_site_fract_y
_atom_site_fract_z
Sr1 Sr 0.0000 0.5000 0.2479
Al1 Al 0.0000 0.0000 0.0000
Al2 Al 0.0000 0.0000 0.5000
Al3 Al 0.0000 0.5000 0.6382
Al4 Al 0.0000 0.5000 0.8695
Al5 Al 0.5000 0.5000 0.5000
Au1 Au 0.5000 0.5000 0.0000
```

Peak list (10 most intense, 15° ≤ 2θ ≤ 90°, low angle first)
| h k l | Position (°2θ) | I (rel.) |
| --- | --- | --- |
| 1 0 0 | 20.22 | 21 |
| 1 0 1 | 21.69 | 47 |
| 1 0 2 | 25.62 | 24 |
| 1 0 3 | 31.15 | 45 |
| 1 1 2 | 32.86 | 100 |
| 2 0 0 | 41.12 | 39 |
| 1 0 5 | 44.83 | 20 |
| 2 1 3 | 52.48 | 24 |
| 1 1 6 | 56.86 | 17 |
| 3 1 2 | 69.71 | 23 |